(1)
The following is a simulated PXRD pattern of MgTi3H8. It was derived from a structure optimized by DFT (PBE), using λ = 1.5418 Å (Cu Kα).

Crystal structure
a = 4.450 Å, b = 4.450 Å, c = 4.450 Å
α = 90.00°, β = 90.00°, γ = 90.00°
Positions (direct):
Mg 0.000 0.000 0.000
Ti 0.000 0.500 0.500
Ti 0.500 0.000 0.500
Ti 0.500 0.500 0.000
H 0.257 0.257 0.257
H 0.257 0.257 0.743
H 0.257 0.743 0.257
H 0.257 0.743 0.743
H 0.743 0.257 0.257
H 0.743 0.257 0.743
H 0.743 0.743 0.257
H 0.743 0.743 0.743

Principal peaks in the range 2θ from 15° to 90°, low angle first:
2θ = 20.0°, 4.450 Å, intensity 60, (1 0 0); 2θ = 34.9°, 2.569 Å, intensity 1000, (1 1 1); 2θ = 40.5°, 2.225 Å, intensity 424, (2 0 0); 2θ = 58.7°, 1.573 Å, intensity 316, (2 2 0); 2θ = 70.1°, 1.342 Å, intensity 326, (3 1 1); 2θ = 73.8°, 1.285 Å, intensity 88, (2 2 2)

(2)
The following is a simulated PXRD pattern of Ac2AgIrAu. It was derived from a structure optimized by DFT (PBE), using λ = 1.5418 Å (Cu Kα).

Crystal structure
a = 4.394 Å, b = 4.394 Å, c = 14.347 Å
α = 90.00°, β = 90.00°, γ = 90.00°
Positions (direct):
Ac 0.250 0.250 0.104
Ac 0.250 0.250 0.693
Ac 0.750 0.750 0.307
Ac 0.750 0.750 0.896
Ag 0.250 0.750 0.500
Ag 0.750 0.250 0.500
Ir 0.250 0.250 0.889
Ir 0.750 0.750 0.111
Au 0.250 0.250 0.362
Au 0.750 0.750 0.638

Principal peaks in the range 2θ from 15° to 90°, low angle first:
2θ = 27.6°, 3.235 Å, intensity 261, (1 0 3); 2θ = 28.7°, 3.107 Å, intensity 1000, (1 1 0); 2θ = 31.2°, 2.869 Å, intensity 339, (0 0 5); 2θ = 38.3°, 2.348 Å, intensity 755, (1 1 4); 2θ = 41.1°, 2.197 Å, intensity 675, (2 0 0); 2θ = 52.5°, 1.744 Å, intensity 319, (2 0 5)

(3)
The following is a simulated PXRD pattern of NaCa4Pb5. It was derived from a structure optimized by DFT (PBE), using λ = 1.5418 Å (Cu Kα).

Crystal structure
a = 3.903 Å, b = 3.903 Å, c = 19.823 Å
α = 90.00°, β = 90.00°, γ = 90.00°
Positions (direct):
Na 0.000 0.000 0.000
Ca 0.000 0.000 0.194
Ca 0.000 0.000 0.398
Ca 0.000 0.000 0.602
Ca 0.000 0.000 0.806
Pb 0.500 0.500 0.092
Pb 0.500 0.500 0.296
Pb 0.500 0.500 0.500
Pb 0.500 0.500 0.704
Pb 0.500 0.500 0.908

Principal peaks in the range 2θ from 15° to 90°, low angle first:
2θ = 22.4°, 3.965 Å, intensity 272, (0 0 5); 2θ = 22.8°, 3.903 Å, intensity 542, (1 0 0); 2θ = 32.2°, 2.781 Å, intensity 1000, (1 0 5); 2θ = 32.4°, 2.760 Å, intensity 503, (1 1 0); 2θ = 39.8°, 2.265 Å, intensity 266, (1 1 5); 2θ = 57.7°, 1.597 Å, intensity 381, (2 1 5)